(1)
Hf4SbTe5: simulated powder diffractogram (λ = 1.5418 Å (Cu Kα)), based on the PBE geometry in Alexandria.

Peak list (10 most intense, 2θ from 10° to 80°, by intensity)
| d/Å | I/Imax |
| --- | --- |
| 2.877 | 1000 |
| 2.066 | 261 |
| 2.004 | 230 |
| 8.161 | 183 |
| 1.639 | 127 |
| 1.994 | 125 |
| 2.078 | 121 |
| 1.438 | 115 |
| 1.303 | 113 |
| 1.271 | 100 |

Structural model:
Lattice parameters (Å, degrees): 9.0177 9.0177 8.3179 100.86 100.86 25.55
Positions (direct):
Hf (0.0022, 0.0022, 0.2408)
Hf (0.3308, 0.3308, 0.9299)
Hf (0.6692, 0.6692, 0.0701)
Hf (0.9978, 0.9978, 0.7592)
Sb (0.5000, 0.5000, 0.0000)
Te (0.1667, 0.1667, 0.3248)
Te (0.1675, 0.1675, 0.8092)
Te (0.5000, 0.5000, 0.5000)
Te (0.8325, 0.8325, 0.1908)
Te (0.8333, 0.8333, 0.6752)

=====

(2)
HfGaCu: simulated powder diffractogram (λ = 1.5418 Å (Cu Kα)), based on the PBE geometry in Alexandria.

Peak list (10 most intense, 2θ from 10° to 80°, by intensity)
| d/Å | I/Imax |
| --- | --- |
| 2.320 | 1000 |
| 2.142 | 528 |
| 2.285 | 294 |
| 5.362 | 199 |
| 2.930 | 169 |
| 1.787 | 130 |
| 1.381 | 112 |
| 2.889 | 104 |
| 2.681 | 103 |
| 1.274 | 94 |

Structural model:
Lattice parameters (Å, degrees): 3.0459 5.7981 6.0288 105.99 90.02 105.20
Positions (direct):
Hf (0.0108, 0.0192, 0.2528)
Hf (0.9892, 0.9808, 0.7472)
Ga (0.3172, 0.6325, 0.3768)
Ga (0.6828, 0.3675, 0.6232)
Cu (0.3250, 0.6513, 0.9315)
Cu (0.6750, 0.3487, 0.0685)

=====

(3)
Y2TaP: simulated powder diffractogram (λ = 1.5418 Å (Cu Kα)), based on the PBE geometry in Alexandria.

Peak list (10 most intense, 2θ from 10° to 80°, by intensity)
| d/Å | I/Imax |
| --- | --- |
| 3.045 | 1000 |
| 2.400 | 832 |
| 7.776 | 737 |
| 2.116 | 705 |
| 3.322 | 697 |
| 2.592 | 445 |
| 1.323 | 314 |
| 1.484 | 231 |
| 1.637 | 182 |
| 1.860 | 179 |

Structural model:
Lattice parameters (Å, degrees): 8.1786 8.1786 8.1786 156.00 153.40 36.13
Positions (direct):
Y (0.1598, 0.1598, 0.0000)
Y (0.8402, 0.8402, 0.0000)
Ta (0.5000, 0.0000, 0.5000)
P (0.0000, 0.5000, 0.5000)

=====

(4)
GdTiIrRu: simulated powder diffractogram (λ = 1.5418 Å (Cu Kα)), based on the PBE geometry in Alexandria.

Peak list (10 most intense, 2θ from 10° to 80°, by intensity)
| d/Å | I/Imax |
| --- | --- |
| 2.314 | 1000 |
| 1.336 | 343 |
| 3.779 | 182 |
| 1.636 | 170 |
| 1.974 | 100 |
| 1.502 | 43 |
| 3.273 | 42 |
| 1.260 | 33 |
| 1.464 | 17 |
| 1.889 | 13 |

Structural model:
Lattice parameters (Å, degrees): 4.6283 4.6283 4.6283 60.00 60.00 60.00
Positions (direct):
Gd (0.0000, 0.0000, 0.0000)
Ti (0.5000, 0.5000, 0.5000)
Ir (0.2500, 0.2500, 0.2500)
Ru (0.7500, 0.7500, 0.7500)

=====

(5)
Pr3Al2Pd6: simulated powder diffractogram (λ = 1.5418 Å (Cu Kα)), based on the PBE geometry in Alexandria.

Peak list (10 most intense, 2θ from 10° to 80°, by intensity)
| d/Å | I/Imax |
| --- | --- |
| 2.276 | 1000 |
| 2.580 | 285 |
| 1.314 | 248 |
| 3.053 | 219 |
| 1.566 | 172 |
| 3.414 | 152 |
| 1.609 | 131 |
| 2.414 | 129 |
| 6.827 | 125 |
| 1.456 | 103 |

Structural model:
Lattice parameters (Å, degrees): 8.3614 8.3614 8.3614 109.47 109.47 109.47
Positions (direct):
Pr (0.0000, 0.2923, 0.2923)
Pr (0.0000, 0.7077, 0.7077)
Pr (0.2923, 0.0000, 0.2923)
Pr (0.2923, 0.2923, 0.0000)
Pr (0.7077, 0.0000, 0.7077)
Pr (0.7077, 0.7077, 0.0000)
Al (0.0000, 0.0000, 0.5000)
Al (0.0000, 0.5000, 0.0000)
Al (0.5000, 0.0000, 0.0000)
Al (0.5000, 0.5000, 0.5000)
Pd (0.0000, 0.3272, 0.6728)
Pd (0.0000, 0.6728, 0.3272)
Pd (0.3272, 0.0000, 0.6728)
Pd (0.3272, 0.3272, 0.6543)
Pd (0.3272, 0.6543, 0.3272)
Pd (0.3272, 0.6728, 0.0000)
Pd (0.3457, 0.6728, 0.6728)
Pd (0.6543, 0.3272, 0.3272)
Pd (0.6728, 0.0000, 0.3272)
Pd (0.6728, 0.3272, 0.0000)
Pd (0.6728, 0.3457, 0.6728)
Pd (0.6728, 0.6728, 0.3457)

=====

(6)
Tb7Mg3: simulated powder diffractogram (λ = 1.5418 Å (Cu Kα)), based on the PBE geometry in Alexandria.

Peak list (10 most intense, 2θ from 10° to 80°, by intensity)
| d/Å | I/Imax |
| --- | --- |
| 2.698 | 1000 |
| 2.991 | 697 |
| 3.187 | 295 |
| 3.326 | 271 |
| 2.540 | 227 |
| 1.738 | 205 |
| 1.849 | 161 |
| 1.704 | 161 |
| 5.400 | 154 |
| 1.511 | 129 |

Structural model:
Lattice parameters (Å, degrees): 10.1603 10.1603 6.8385 90.00 90.00 120.00
Positions (direct):
Tb (0.0573, 0.5287, 0.0000)
Tb (0.1231, 0.2461, 0.7585)
Tb (0.1231, 0.8769, 0.7585)
Tb (0.2461, 0.1231, 0.2585)
Tb (0.3333, 0.6667, 0.6552)
Tb (0.4713, 0.5287, 0.0000)
Tb (0.4713, 0.9427, 0.0000)
Tb (0.5287, 0.0573, 0.5000)
Tb (0.5287, 0.4713, 0.5000)
Tb (0.6667, 0.3333, 0.1552)
Tb (0.7539, 0.8769, 0.7585)
Tb (0.8769, 0.1231, 0.2585)
Tb (0.8769, 0.7539, 0.2585)
Tb (0.9427, 0.4713, 0.5000)
Mg (0.2142, 0.4284, 0.3090)
Mg (0.2142, 0.7858, 0.3090)
Mg (0.4284, 0.2142, 0.8090)
Mg (0.5716, 0.7858, 0.3090)
Mg (0.7858, 0.2142, 0.8090)
Mg (0.7858, 0.5716, 0.8090)

=====

Question: Number 6 is which compound?
Answer: Tb7Mg3